Computed PXRD pattern of Tb2Pr7Sc for Cu Kα (λ = 1.5418 Å), from DFT lattice parameters and positions (PBE).
Lines closer than 0.1° are merged.

```
data_Tb2Pr7Sc
_cell_length_a 8.8943
_cell_length_b 17.1481
_cell_length_c 5.4173
_cell_angle_alpha 90.00
_cell_angle_beta 90.00
_cell_angle_gamma 90.00
_space_group_name_H-M_alt 'C m m m'
_space_group_IT_number 65
_space_group_name_Hall '-C 2 2'
loop_
_atom_site_label
_atom_site_fract_x
_atom_site_fract_y
_atom_site_fract_z
Tb1 0.0000 0.2053 0.0000
Pr1 0.0000 0.0000 0.0000
Pr2 0.0000 0.2992 0.5000
Pr3 0.1799 0.3924 0.0000
Sc1 0.0000 0.5000 0.5000
```

Main lines, by angle (10° ≤ 2θ ≤ 90°):
| hkl | 2θ/deg | I (rel.) |
| --- | --- | --- |
| 0 0 1 | 16.36 | 62 |
| 2 4 0 | 28.93 | 36 |
| 1 5 1 | 32.50 | 100 |
| 0 0 2 | 33.07 | 42 |
| 3 1 1 | 34.89 | 50 |
| 3 9 1 | 60.22 | 27 |